# Cs6As2Br
Calculated powder X-ray diffraction pattern, λ = 1.5418 Å (Cu Kα). Input: a structure optimized by DFT (PBE).

Cell and atoms:
```
data_Cs6As2Br
_cell_length_a 6.1863
_cell_length_b 8.6795
_cell_length_c 18.3952
_cell_angle_alpha 90.00
_cell_angle_beta 90.00
_cell_angle_gamma 90.00
_symmetry_space_group_name_H-M 'I m m m'
_symmetry_Int_Tables_number 71
_symmetry_space_group_name_Hall '-I 2 2'
loop_
_atom_site_label
_atom_site_fract_x
_atom_site_fract_y
_atom_site_fract_z
Cs1 0.0000 0.2392 0.0000
Cs2 0.0000 0.2584 0.3268
As1 0.0000 0.0000 0.1633
Br1 0.0000 0.0000 0.5000
```

Largest 8 diffraction maxima, by angle, 5° ≤ 2θ ≤ 70°:
- 2θ = 20.4°, intensity 41, (1 0 3)
- 2θ = 28.9°, intensity 21, (2 0 0)
- 2θ = 29.1°, intensity 100, (1 2 3)
- 2θ = 41.5°, intensity 15, (2 0 6)
- 2θ = 51.3°, intensity 16, (3 2 3)
- 2θ = 51.6°, intensity 22, (0 4 6)
- 2θ = 60.2°, intensity 9, (2 4 6)
- 2θ = 68.3°, intensity 9, (1 6 3)